No. 1
AsSe2: simulated XRD peak list (λ = 1.5418 Å (Cu Kα)), based on a cell relaxed with PBE.
Neutral-atom scattering factors, no anomalous dispersion.

Cell and atoms:
```
AsSe2
1.0
7.986 0.000 0.000
0.000 3.803 0.000
0.000 0.000 9.773
As Se
4 8
Direct
0.168 0.250 0.082
0.332 0.750 0.582
0.668 0.250 0.418
0.832 0.750 0.918
0.063 0.250 0.851
0.124 0.250 0.468
0.376 0.750 0.968
0.437 0.750 0.351
0.563 0.250 0.649
0.624 0.250 0.032
0.876 0.750 0.532
0.937 0.750 0.149
```

Principal peaks in the range 2θ from 15° to 90°, most intense first:
2θ = 32.51°, I = 100.0
2θ = 18.15°, I = 42.4
2θ = 29.62°, I = 41.8
2θ = 37.49°, I = 27.2
2θ = 47.84°, I = 26.2
2θ = 52.65°, I = 22.9
2θ = 50.35°, I = 19.1
2θ = 31.85°, I = 18.4

=====

No. 2
AcH6RuAu: simulated XRD peak list (λ = 1.5418 Å (Cu Kα)), based on a cell relaxed with PBE.
Neutral-atom scattering factors, no anomalous dispersion.

Cell and atoms:
```
AcH6RuAu
1.0
4.971 0.000 0.000
-2.486 4.305 0.000
0.000 0.000 4.477
Ac H Ru Au
1 6 1 1
Direct
0.000 0.000 0.000
0.042 0.521 0.238
0.042 0.521 0.762
0.479 0.521 0.238
0.479 0.521 0.762
0.479 0.958 0.238
0.479 0.958 0.762
0.333 0.667 0.500
0.667 0.333 0.500
```

Principal peaks in the range 2θ from 15° to 90°, most intense first:
2θ = 28.77°, I = 100.0
2θ = 36.14°, I = 51.7
2θ = 55.22°, I = 31.4
2θ = 46.83°, I = 27.1
2θ = 60.54°, I = 25.4
2θ = 40.29°, I = 12.6
2θ = 79.30°, I = 11.1
2θ = 83.86°, I = 10.5

=====

No. 3
SmSi6Ir12: simulated XRD peak list (λ = 1.5418 Å (Cu Kα)), based on a cell relaxed with PBE.
Neutral-atom scattering factors, no anomalous dispersion.

Cell and atoms:
```
SmSi6Ir12
1.0
5.600 3.233 2.736
-5.600 3.233 2.736
0.000 -6.467 2.736
Sm Si Ir
1 6 12
Direct
0.000 0.000 0.000
0.246 0.246 0.686
0.246 0.686 0.246
0.314 0.754 0.754
0.686 0.246 0.246
0.754 0.314 0.754
0.754 0.754 0.314
0.132 0.500 0.868
0.132 0.868 0.500
0.184 0.431 0.431
0.431 0.184 0.431
0.431 0.431 0.184
0.500 0.132 0.868
0.500 0.868 0.132
0.569 0.569 0.816
0.569 0.816 0.569
0.816 0.569 0.569
0.868 0.132 0.500
0.868 0.500 0.132
```

Principal peaks in the range 2θ from 15° to 90°, most intense first:
2θ = 35.10°, I = 100.0
2θ = 43.33°, I = 69.2
2θ = 36.55°, I = 59.4
2θ = 52.15°, I = 35.2
2θ = 27.59°, I = 27.6
2θ = 68.67°, I = 25.8
2θ = 66.77°, I = 18.5
2θ = 40.08°, I = 17.8